TbSi2Ag2: calculated PXRD pattern (Cu Ka), based on a structure optimized by DFT (PBE).
Lines closer than 0.1° are merged.

Structural model:
a = 4.1687 Å, b = 4.1687 Å, c = 10.7868 Å
α = 90.00°, β = 90.00°, γ = 90.00°
Atoms (fractional coordinates):
Tb1 0.0000 0.0000 0.0000
Tb2 0.5000 0.5000 0.5000
Si1 0.0000 0.0000 0.3936
Si2 0.0000 0.0000 0.6064
Si3 0.5000 0.5000 0.1064
Si4 0.5000 0.5000 0.8936
Ag1 0.0000 0.5000 0.2500
Ag2 0.0000 0.5000 0.7500
Ag3 0.5000 0.0000 0.2500
Ag4 0.5000 0.0000 0.7500

Most intense lines, 2θ = 10–90°, in order of rising 2θ:
d [Å], I (rel.)
3.888, 222
2.723, 242
2.697, 197
2.587, 1000
2.084, 325
1.916, 119
1.655, 108
1.649, 174
1.535, 148
1.474, 104
1.411, 87
1.281, 209


SrCe2S2F4: calculated PXRD pattern (Cu Ka), based on a structure optimized by DFT (PBE).
Lines closer than 0.1° are merged.

Structural model:
a = 10.3504 Å, b = 10.3504 Å, c = 10.3504 Å
α = 157.65°, β = 157.65°, γ = 31.81°
Atoms (fractional coordinates):
Sr1 0.0000 0.0000 0.0000
Ce1 0.3423 0.3423 0.0000
Ce2 0.6577 0.6577 0.0000
S1 0.1983 0.1983 0.0000
S2 0.8017 0.8017 0.0000
F1 0.0746 0.5746 0.5000
F2 0.4254 0.9254 0.5000
F3 0.5746 0.0746 0.5000
F4 0.9254 0.4254 0.5000

Most intense lines, 2θ = 10–90°, in order of rising 2θ:
d [Å], I (rel.)
3.433, 1000
3.318, 218
2.837, 404
2.320, 122
2.156, 592
2.006, 303
1.937, 255
1.732, 292
1.717, 138
1.418, 93
1.393, 173
1.185, 157


Th2Co7: calculated PXRD pattern (Cu Ka), based on a structure optimized by DFT (PBE).
Lines closer than 0.1° are merged.

Structural model:
a = 12.7480 Å, b = 12.7480 Å, c = 12.7480 Å
α = 22.45°, β = 22.45°, γ = 22.45°
Atoms (fractional coordinates):
Th1 0.0508 0.0508 0.0508
Th2 0.1462 0.1462 0.1462
Th3 0.8538 0.8538 0.8538
Th4 0.9492 0.9492 0.9492
Co1 0.0000 0.5000 0.5000
Co2 0.1096 0.6075 0.6075
Co3 0.2783 0.2783 0.2783
Co4 0.3881 0.3881 0.3881
Co5 0.3925 0.3925 0.8904
Co6 0.3925 0.8904 0.3925
Co7 0.5000 0.0000 0.5000
Co8 0.5000 0.5000 0.0000
Co9 0.5000 0.5000 0.5000
Co10 0.6075 0.1096 0.6075
Co11 0.6075 0.6075 0.1096
Co12 0.6119 0.6119 0.6119
Co13 0.7217 0.7217 0.7217
Co14 0.8904 0.3925 0.3925

Most intense lines, 2θ = 10–90°, in order of rising 2θ:
d [Å], I (rel.)
4.271, 298
2.816, 684
2.661, 534
2.482, 668
2.146, 414
2.129, 1000
1.489, 207
1.465, 179
1.444, 176
1.408, 161
1.354, 225
1.241, 233


Ca3Eu: calculated PXRD pattern (Cu Ka), based on a structure optimized by DFT (PBE).
Lines closer than 0.1° are merged.

Structural model:
a = 7.8292 Å, b = 7.8292 Å, c = 6.4657 Å
α = 90.00°, β = 90.00°, γ = 120.00°
Atoms (fractional coordinates):
Ca1 0.1673 0.3345 0.2500
Ca2 0.1673 0.8327 0.2500
Ca3 0.3345 0.1673 0.7500
Ca4 0.6655 0.8327 0.2500
Ca5 0.8327 0.1673 0.7500
Ca6 0.8327 0.6655 0.7500
Eu1 0.3333 0.6667 0.7500
Eu2 0.6667 0.3333 0.2500

Most intense lines, 2θ = 10–90°, in order of rising 2θ:
d [Å], I (rel.)
6.780, 165
4.679, 429
3.915, 192
3.390, 230
3.233, 271
3.002, 1000
2.382, 167
2.340, 163
1.957, 187
1.819, 220
1.674, 222
1.640, 155


Sb: calculated PXRD pattern (Cu Ka), based on a structure optimized by DFT (PBE).
Lines closer than 0.1° are merged.

Structural model:
a = 6.6098 Å, b = 7.9033 Å, c = 10.4408 Å
α = 69.89°, β = 82.52°, γ = 70.53°
Atoms (fractional coordinates):
Sb1 0.0000 0.0000 0.0000
Sb2 0.0000 0.5000 0.0000
Sb3 0.0232 0.1143 0.2587
Sb4 0.1163 0.4885 0.6969
Sb5 0.3267 0.7542 0.2202
Sb6 0.3345 0.0801 0.7720
Sb7 0.3389 0.3317 0.2321
Sb8 0.5000 0.0000 0.5000
Sb9 0.5000 0.5000 0.5000
Sb10 0.6610 0.6683 0.7679
Sb11 0.6655 0.9199 0.2280
Sb12 0.6733 0.2458 0.7798
Sb13 0.8837 0.5115 0.3031
Sb14 0.9768 0.8857 0.7413

Most intense lines, 2θ = 10–90°, in order of rising 2θ:
d [Å], I (rel.)
5.217, 571
4.902, 1000
3.434, 419
3.247, 603
2.939, 451
2.915, 891
2.807, 487
2.591, 395
2.522, 448
2.479, 956
2.451, 778
2.398, 841


HoBO3: calculated PXRD pattern (Cu Ka), based on a structure optimized by DFT (PBE).
Lines closer than 0.1° are merged.

Structural model:
a = 6.1324 Å, b = 6.3894 Å, c = 6.3914 Å
α = 92.77°, β = 108.24°, γ = 107.53°
Atoms (fractional coordinates):
Ho1 0.0566 0.2705 0.3450
Ho2 0.4394 0.8150 0.2186
Ho3 0.5606 0.1850 0.7814
Ho4 0.9434 0.7295 0.6550
B1 0.0238 0.2414 0.7875
B2 0.4930 0.2792 0.2710
B3 0.5070 0.7208 0.7290
B4 0.9762 0.7586 0.2125
O1 0.0310 0.7686 0.0212
O2 0.0896 0.6415 0.3668
O3 0.1522 0.1250 0.7166
O4 0.3729 0.1276 0.3847
O5 0.3770 0.7996 0.8379
O6 0.4593 0.4799 0.2667
O7 0.5407 0.5201 0.7333
O8 0.6230 0.2004 0.1621
O9 0.6271 0.8724 0.6153
O10 0.8478 0.8750 0.2834
O11 0.9104 0.3585 0.6332
O12 0.9690 0.2314 0.9788

Most intense lines, 2θ = 10–90°, in order of rising 2θ:
d [Å], I (rel.)
4.216, 1000
3.554, 772
3.521, 308
3.495, 414
3.008, 630
2.997, 422
2.888, 279
2.870, 410
2.745, 460
2.497, 323
2.127, 270
1.708, 332